Simulated X-ray diffraction stick pattern
Compound: Bi2SbCl
Radiation: Cu Kα
Structure: a cell relaxed with GGA-PBE
No peak broadening, texture or thermal motion is included.

Top 6 peaks for 2θ from 10° to 90°, low angle first:
2theta	I_rel
18.4	100
29.7	76
31.6	85
32.1	66
33.4	83
40.8	55

Structural model:
Cell lengths 6.2987, 6.3000, 7.6995 Å; angles 77.46, 83.73, 60.13 degrees
Space group P1 (No. 1)
One atom of each set of equivalent atoms:
Bi 0.0000 0.0000 0.0000
Bi 0.0013 0.6432 0.4192
Bi 0.4607 0.7692 0.4983
Bi 0.4621 0.4144 0.9170
Sb 0.1929 0.2267 0.2087
Sb 0.2698 0.1861 0.7091
Cl 0.7197 0.7092 0.9694
Cl 0.7378 0.2015 0.4646